This entry pairs a crystal structure of La4BiPb2 with its simulated powder diffractogram. Radiation: λ = 1.5418 Å (Cu Kα). Structure: a structure optimized by DFT (GGA-PBE).
Kinematic intensities with the Lorentz-polarization factor, no thermal factor.

Top 10 peaks for 15 to 90 degrees two-theta, by angle:
21.99°, rel. 225, hkl 2 1 1
28.47°, rel. 1000, hkl 3 0 1
28.58°, rel. 496, hkl 1 0 3
33.88°, rel. 972, hkl 3 1 2
40.72°, rel. 211, hkl 4 2 0
42.85°, rel. 222, hkl 3 2 3
46.76°, rel. 202, hkl 4 3 1
57.31°, rel. 319, hkl 6 1 1
57.50°, rel. 158, hkl 1 1 6
69.72°, rel. 187, hkl 7 2 1

Cell and atoms:
```
data_La4BiPb2
_chemical_formula_sum 'La16 Bi4 Pb8'
_cell_length_a 9.9146
_cell_length_b 9.9146
_cell_length_c 9.8713
_cell_angle_alpha 90.00
_cell_angle_beta 90.00
_cell_angle_gamma 90.00
_space_group_name_H-M_alt 'I -4 2 d'
_space_group_IT_number 122
_space_group_name_Hall 'I -4 2bw'
loop_
_atom_site_label
_atom_site_type_symbol
_atom_site_fract_x
_atom_site_fract_y
_atom_site_fract_z
_atom_site_occupancy
La1 La 0.0727 0.1781 0.3044 1
Bi1 Bi 0.0000 0.0000 0.0000 1
Pb1 Pb 0.1262 0.2500 0.6250 1
```